1.
Ce4TeRu2: calculated X-ray diffraction stick pattern (Cu Kα), based on a crystal structure in Alexandria, relaxed with GGA-PBE.

Structural model:
Unit cell a=7.730 b=7.718 c=9.203 alpha=53.49 beta=53.37 gamma=73.13
Fractional coordinates of all 14 atoms:
Ce (0.070, 0.430, 0.173)
Ce (0.077, 0.923, 0.180)
Ce (0.152, 0.512, 0.744)
Ce (0.430, 0.070, 0.327)
Ce (0.506, 0.658, 0.098)
Ce (0.512, 0.152, 0.592)
Ce (0.658, 0.506, 0.738)
Ce (0.923, 0.077, 0.820)
Te (0.666, 0.666, 0.334)
Te (0.916, 0.916, 0.584)
Ru (0.158, 0.423, 0.460)
Ru (0.291, 0.790, 0.827)
Ru (0.423, 0.158, 0.959)
Ru (0.790, 0.291, 0.092)

Main lines, most intense first (10° ≤ 2θ ≤ 80°):
2θ/deg	intensity
31.1	1000
30.7	937
33.8	710
36.8	710
37.7	588
54.2	271

2.
Ce2TeRu: calculated X-ray diffraction stick pattern (Cu Kα), based on a crystal structure in Alexandria, relaxed with GGA-PBE.

Structural model:
Unit cell a=4.040 b=5.054 c=10.733 alpha=90.00 beta=90.00 gamma=90.00
Fractional coordinates of all 8 atoms:
Ce (0.250, 0.250, 0.074)
Ce (0.250, 0.250, 0.675)
Ce (0.750, 0.750, 0.325)
Ce (0.750, 0.750, 0.926)
Te (0.250, 0.250, 0.374)
Te (0.750, 0.750, 0.626)
Ru (0.250, 0.750, 0.122)
Ru (0.750, 0.250, 0.878)

Main lines, most intense first (10° ≤ 2θ ≤ 80°):
2θ/deg	intensity
33.4	1000
38.0	946
28.3	911
35.5	714
49.6	653
27.6	451

3.
CeTh2Ru3: calculated X-ray diffraction stick pattern (Cu Kα), based on a crystal structure in Alexandria, relaxed with GGA-PBE.

Structural model:
Unit cell a=7.100 b=7.100 c=5.457 alpha=90.00 beta=90.00 gamma=94.06
Fractional coordinates of all 12 atoms:
Ce (0.092, 0.908, 0.500)
Ce (0.908, 0.092, 0.000)
Th (0.187, 0.428, 0.497)
Th (0.428, 0.187, 0.997)
Th (0.572, 0.813, 0.497)
Th (0.813, 0.572, 0.997)
Ru (0.138, 0.862, 0.000)
Ru (0.209, 0.485, 0.997)
Ru (0.485, 0.209, 0.497)
Ru (0.515, 0.791, 0.997)
Ru (0.791, 0.515, 0.497)
Ru (0.862, 0.138, 0.500)

Main lines, most intense first (10° ≤ 2θ ≤ 80°):
2θ/deg	intensity
29.0	1000
32.8	809
44.3	630
34.5	608
48.4	473
30.1	422

4.
Ce3Th2Ru2: calculated X-ray diffraction stick pattern (Cu Kα), based on a crystal structure in Alexandria, relaxed with GGA-PBE.

Structural model:
Unit cell a=11.539 b=3.742 c=8.727 alpha=90.00 beta=109.11 gamma=90.00
Fractional coordinates of all 14 atoms:
Ce (0.000, 0.000, 0.000)
Ce (0.120, 0.000, 0.441)
Ce (0.380, 0.500, 0.559)
Ce (0.500, 0.500, 0.000)
Ce (0.620, 0.500, 0.441)
Ce (0.880, 0.000, 0.559)
Th (0.168, 0.500, 0.807)
Th (0.332, 0.000, 0.193)
Th (0.668, 0.000, 0.807)
Th (0.832, 0.500, 0.193)
Ru (0.136, 0.500, 0.213)
Ru (0.364, 0.000, 0.787)
Ru (0.636, 0.000, 0.213)
Ru (0.864, 0.500, 0.787)

Main lines, most intense first (10° ≤ 2θ ≤ 80°):
2θ/deg	intensity
31.2	1000
31.5	886
36.2	726
34.4	595
28.5	553
32.9	532

5.
Ce2Th3Ru4: calculated X-ray diffraction stick pattern (Cu Kα), based on a crystal structure in Alexandria, relaxed with GGA-PBE.

Structural model:
Unit cell a=9.093 b=9.093 c=5.462 alpha=97.22 beta=97.22 gamma=79.43
Fractional coordinates of all 18 atoms:
Ce (0.082, 0.312, 0.354)
Ce (0.312, 0.082, 0.854)
Ce (0.688, 0.918, 0.146)
Ce (0.918, 0.688, 0.646)
Th (0.124, 0.876, 0.250)
Th (0.288, 0.509, 0.942)
Th (0.491, 0.712, 0.558)
Th (0.509, 0.288, 0.442)
Th (0.712, 0.491, 0.058)
Th (0.876, 0.124, 0.750)
Ru (0.032, 0.341, 0.863)
Ru (0.241, 0.546, 0.443)
Ru (0.341, 0.032, 0.363)
Ru (0.454, 0.759, 0.057)
Ru (0.546, 0.241, 0.943)
Ru (0.659, 0.968, 0.637)
Ru (0.759, 0.454, 0.557)
Ru (0.968, 0.659, 0.137)

Main lines, most intense first (10° ≤ 2θ ≤ 80°):
2θ/deg	intensity
30.8	1000
33.4	941
33.7	935
40.4	545
27.3	540
40.1	540

6.
Ce5TlRu: calculated X-ray diffraction stick pattern (Cu Kα), based on a crystal structure in Alexandria, relaxed with GGA-PBE.

Structural model:
Unit cell a=4.963 b=4.963 c=7.608 alpha=90.00 beta=90.00 gamma=90.00
Fractional coordinates of all 7 atoms:
Ce (0.000, 0.000, 0.000)
Ce (0.000, 0.500, 0.300)
Ce (0.000, 0.500, 0.700)
Ce (0.500, 0.000, 0.300)
Ce (0.500, 0.000, 0.700)
Tl (0.500, 0.500, 0.000)
Ru (0.000, 0.000, 0.500)

Main lines, most intense first (10° ≤ 2θ ≤ 80°):
2θ/deg	intensity
34.8	1000
36.2	560
28.0	363
64.2	337
52.1	197
51.5	194

7.
Ce5Tl5Ru: calculated X-ray diffraction stick pattern (Cu Kα), based on a crystal structure in Alexandria, relaxed with GGA-PBE.

Structural model:
Unit cell a=9.536 b=9.536 c=9.536 alpha=146.56 beta=138.13 gamma=54.61
Fractional coordinates of all 11 atoms:
Ce (0.000, 0.000, 0.000)
Ce (0.058, 0.351, 0.707)
Ce (0.356, 0.649, 0.707)
Ce (0.644, 0.351, 0.293)
Ce (0.942, 0.649, 0.293)
Tl (0.199, 0.199, 0.000)
Tl (0.361, 0.861, 0.500)
Tl (0.500, 0.500, 0.000)
Tl (0.639, 0.139, 0.500)
Tl (0.801, 0.801, 0.000)
Ru (0.000, 0.500, 0.500)

Main lines, most intense first (10° ≤ 2θ ≤ 80°):
2θ/deg	intensity
34.8	1000
29.7	664
32.6	581
31.7	284
59.7	215
46.1	202

8.
Ce5Tl2Ru: calculated X-ray diffraction stick pattern (Cu Kα), based on a crystal structure in Alexandria, relaxed with GGA-PBE.

Structural model:
Unit cell a=6.734 b=6.734 c=9.291 alpha=90.00 beta=90.00 gamma=90.00
Fractional coordinates of all 16 atoms:
Ce (0.000, 0.000, 0.000)
Ce (0.230, 0.230, 0.295)
Ce (0.230, 0.770, 0.295)
Ce (0.270, 0.270, 0.795)
Ce (0.270, 0.730, 0.795)
Ce (0.500, 0.500, 0.500)
Ce (0.730, 0.270, 0.795)
Ce (0.730, 0.730, 0.795)
Ce (0.770, 0.230, 0.295)
Ce (0.770, 0.770, 0.295)
Tl (0.000, 0.500, 0.049)
Tl (0.000, 0.500, 0.549)
Tl (0.500, 0.000, 0.049)
Tl (0.500, 0.000, 0.549)
Ru (0.000, 0.000, 0.673)
Ru (0.500, 0.500, 0.173)

Main lines, most intense first (10° ≤ 2θ ≤ 80°):
2θ/deg	intensity
32.9	1000
37.8	419
65.1	256
55.2	161
54.5	138
26.8	129

9.
CeTm5Ru4: calculated X-ray diffraction stick pattern (Cu Kα), based on a crystal structure in Alexandria, relaxed with GGA-PBE.

Structural model:
Unit cell a=7.450 b=7.450 c=6.665 alpha=94.10 beta=94.10 gamma=38.12
Fractional coordinates of all 10 atoms:
Ce (0.000, 0.000, 0.000)
Tm (0.000, 0.000, 0.500)
Tm (0.330, 0.330, 0.991)
Tm (0.333, 0.333, 0.489)
Tm (0.667, 0.667, 0.511)
Tm (0.670, 0.670, 0.009)
Ru (0.155, 0.155, 0.242)
Ru (0.500, 0.500, 0.245)
Ru (0.500, 0.500, 0.755)
Ru (0.845, 0.845, 0.758)

Main lines, most intense first (10° ≤ 2θ ≤ 80°):
2θ/deg	intensity
36.9	1000
39.1	547
38.5	284
26.4	260
54.4	208
66.5	176

10.
Ce3TmRu4: calculated X-ray diffraction stick pattern (Cu Kα), based on a crystal structure in Alexandria, relaxed with GGA-PBE.

Structural model:
Unit cell a=8.260 b=8.260 c=8.260 alpha=34.54 beta=34.54 gamma=34.54
Fractional coordinates of all 8 atoms:
Ce (0.000, 0.000, 0.000)
Ce (0.248, 0.248, 0.248)
Ce (0.752, 0.752, 0.752)
Tm (0.500, 0.500, 0.500)
Ru (0.125, 0.125, 0.125)
Ru (0.372, 0.372, 0.372)
Ru (0.628, 0.628, 0.628)
Ru (0.875, 0.875, 0.875)

Main lines, most intense first (10° ≤ 2θ ≤ 80°):
2θ/deg	intensity
36.6	1000
37.5	935
66.5	342
53.4	334
66.0	176
68.1	156

11.
Ce3Tm2Ru2: calculated X-ray diffraction stick pattern (Cu Kα), based on a crystal structure in Alexandria, relaxed with GGA-PBE.

Structural model:
Unit cell a=11.278 b=3.800 c=8.525 alpha=90.00 beta=109.31 gamma=90.00
Fractional coordinates of all 14 atoms:
Ce (0.000, 0.000, 0.000)
Ce (0.125, 0.000, 0.436)
Ce (0.375, 0.500, 0.564)
Ce (0.500, 0.500, 0.000)
Ce (0.625, 0.500, 0.436)
Ce (0.875, 0.000, 0.564)
Tm (0.163, 0.500, 0.803)
Tm (0.337, 0.000, 0.197)
Tm (0.663, 0.000, 0.803)
Tm (0.837, 0.500, 0.197)
Ru (0.141, 0.500, 0.196)
Ru (0.359, 0.000, 0.804)
Ru (0.641, 0.000, 0.196)
Ru (0.859, 0.500, 0.804)

Main lines, most intense first (10° ≤ 2θ ≤ 80°):
2θ/deg	intensity
33.7	1000
32.0	856
35.4	642
36.4	611
31.6	516
39.0	493

12.
CeURu3: calculated X-ray diffraction stick pattern (Cu Kα), based on a crystal structure in Alexandria, relaxed with GGA-PBE.

Structural model:
Unit cell a=6.462 b=6.462 c=6.462 alpha=125.79 beta=108.02 gamma=96.07
Fractional coordinates of all 10 atoms:
Ce (0.266, 0.016, 0.250)
Ce (0.734, 0.984, 0.750)
U (0.000, 0.500, 0.500)
U (0.500, 0.500, 0.000)
Ru (0.060, 0.310, 0.750)
Ru (0.306, 0.000, 0.806)
Ru (0.306, 0.500, 0.306)
Ru (0.694, 0.000, 0.194)
Ru (0.694, 0.500, 0.694)
Ru (0.940, 0.690, 0.250)

Main lines, most intense first (10° ≤ 2θ ≤ 80°):
2θ/deg	intensity
29.8	1000
37.0	831
42.3	752
44.2	367
41.8	304
47.9	250